Diffraction record for MgCd2W2O8. The X-ray powder pattern is computed, not measured: it uses DFT lattice parameters and positions (PBE+U) and Cu Kα X-rays.

Largest 10 diffraction maxima, by intensity, 2θ from 10° to 80°:
Position (°2θ), d [Å], intensity, h k l
25.67, 3.470, 100, 1 1 -1
29.53, 3.025, 64, 1 1 1
21.49, 4.135, 35, 0 1 1
43.99, 2.058, 31, 2 0 -2
13.72, 6.455, 30, 0 1 0
32.75, 2.735, 30, 1 2 0
38.32, 2.349, 29, 1 2 1
33.27, 2.693, 26, 0 0 2
34.83, 2.576, 24, 2 0 0
16.46, 5.386, 23, 0 0 1

```
MgCd2W2O8
1.0
5.239 0.000 0.000
0.000 6.455 0.000
-0.997 0.000 5.386
Mg Cd W O
1 2 2 8
Direct
0.000 0.000 0.000
0.000 0.206 0.500
0.500 0.752 0.500
0.000 0.541 0.000
0.500 0.253 0.000
0.168 0.763 0.217
0.209 0.285 0.198
0.275 0.487 0.806
0.293 0.045 0.795
0.707 0.045 0.205
0.725 0.487 0.194
0.791 0.285 0.802
0.832 0.763 0.783
```